No. 1
HfNb3Ge: simulated powder XRD pattern (copper Kα), based on a DFT-relaxed cell (PBE, Alexandria).
No peak broadening, texture or thermal motion is included.

Structural model:
```
data_HfNb3Ge
_chemical_formula_sum 'Hf2 Nb6 Ge2'
_space_group_name_H-M_alt 'C 1 m 1'
_space_group_IT_number 8
_space_group_name_Hall 'C -2y'
_cell_length_a 8.919
_cell_length_b 4.596
_cell_length_c 6.149
_cell_angle_alpha 90.00
_cell_angle_beta 132.69
_cell_angle_gamma 90.00
loop_
_atom_site_label
_atom_site_fract_x
_atom_site_fract_y
_atom_site_fract_z
_atom_site_occupancy
Hf1 0.000 0.000 0.000 1
Nb1 0.092 0.500 0.789 1
Nb2 0.320 0.500 0.391 1
Nb3 0.430 0.000 0.213 1
Ge1 0.212 0.000 0.612 1
```

Main lines, in order of falling intensity (2θ from 5° to 70°):
2θ/deg	d (Å)	I (rel.)
36.89	2.437	100.0
37.61	2.391	98.8
39.20	2.298	44.4
43.75	2.069	31.1
60.18	1.538	25.3
46.64	1.948	24.8



No. 2
Pr5Sm2YTh: simulated powder XRD pattern (copper Kα), based on a DFT-relaxed cell (PBE, Alexandria).
No peak broadening, texture or thermal motion is included.

Structural model:
```
data_Pr5Sm2YTh
_chemical_formula_sum 'Pr20 Sm8 Y4 Th4'
_space_group_name_H-M_alt 'C m c m'
_space_group_IT_number 63
_space_group_name_Hall '-C 2c 2'
_cell_length_a 5.489
_cell_length_b 22.112
_cell_length_c 10.640
_cell_angle_alpha 90.00
_cell_angle_beta 90.00
_cell_angle_gamma 90.00
loop_
_atom_site_label
_atom_site_fract_x
_atom_site_fract_y
_atom_site_fract_z
_atom_site_occupancy
Pr1 0.000 0.000 0.000 1
Pr2 0.000 0.127 0.250 1
Pr3 0.000 0.223 0.558 1
Pr4 0.000 0.498 0.750 1
Sm1 0.000 0.387 0.005 1
Y1 0.000 0.102 0.750 1
Th1 0.000 0.288 0.250 1
```

Main lines, in order of falling intensity (2θ from 5° to 70°):
2θ/deg	d (Å)	I (rel.)
30.93	2.891	100.0
32.63	2.744	31.1
30.28	2.952	20.9
32.41	2.763	20.9
33.69	2.660	19.0
57.18	1.611	18.8